[1]
Theoretical PXRD pattern of Y3Ge13Pt4 for a wavelength of 1.5418 Å, from a PBE-relaxed structure.
Peak positions follow from Bragg's law for the DFT cell and can differ from measured ones.

Most intense lines, 2θ from 10° to 90°, by angle:
hkl 2 0 2, 19.51°, I 100; hkl 0 2 4, 27.66°, I 43; hkl 0 4 2, 34.18°, I 82; hkl 1 2 5, 35.49°, I 55; hkl 3 2 1, 35.65°, I 47; hkl 4 0 4, 39.61°, I 84; hkl 2 2 6, 44.44°, I 50; hkl 6 0 0, 49.11°, I 95

Lattice parameters (Å, degrees): 12.8398 12.8398 15.8369 90.00 90.00 120.00
Space group R3c (No. 161, hexagonal axes)
Asymmetric unit:
Y 0.0842 0.4159 0.0000 (multiplicity 18)
Ge 0.0000 0.0000 0.0884 (multiplicity 6)
Ge 0.0050 0.1769 0.9122 (multiplicity 18)
Ge 0.0481 0.2067 0.5344 (multiplicity 18)
Ge 0.1015 0.3721 0.8102 (multiplicity 18)
Ge 0.1491 0.0143 0.7185 (multiplicity 18)
Pt 0.0000 0.0000 0.3344 (multiplicity 6)
Pt 0.9997 0.4968 0.8318 (multiplicity 18)

[2]
Theoretical PXRD pattern of Gd2Zr2O5 for a wavelength of 1.5418 Å, from a PBE-relaxed structure.
Peak positions follow from Bragg's law for the DFT cell and can differ from measured ones.

Most intense lines, 2θ from 10° to 90°, by angle:
hkl 1 1 0, 30.61°, I 54; hkl 1 0 2, 32.49°, I 100; hkl 1 1 2, 39.30°, I 14; hkl 2 0 0, 43.84°, I 33; hkl 2 1 2, 55.62°, I 43; hkl 1 1 4, 59.12°, I 13; hkl 2 0 4, 68.05°, I 14; hkl 3 1 0, 72.34°, I 12

Lattice parameters (Å, degrees): 4.130 4.130 7.399 90.00 90.00 90.00
Space group P4/mmm (No. 123)
Asymmetric unit:
Gd 0.000 0.000 0.000 (multiplicity 1)
Gd 0.000 0.000 0.500 (multiplicity 1)
Zr 0.500 0.500 0.217 (multiplicity 2)
O 0.000 0.500 0.258 (multiplicity 4)
O 0.500 0.500 0.500 (multiplicity 1)